Entry 1:
Diffraction record for LaPmPr2Nd6. The powder XRD pattern is theoretical, not measured: it uses a structure optimized by DFT (PBE) and a wavelength of 1.5418 Å.
Neutral-atom scattering factors, no anomalous dispersion.

Peak list (10 most intense, 5 to 70 degrees two-theta, sorted by position)
- 2θ = 27.74°, I = 59
- 2θ = 29.23°, I = 65
- 2θ = 29.73°, I = 87
- 2θ = 30.40°, I = 73
- 2θ = 30.57°, I = 57
- 2θ = 30.83°, I = 100
- 2θ = 31.26°, I = 33
- 2θ = 32.16°, I = 81
- 2θ = 32.69°, I = 23
- 2θ = 50.90°, I = 22

Cell and atoms:
```
data_LaPmPr2Nd6
_space_group_name_H-M_alt 'P 1'
_space_group_IT_number 1
_space_group_name_Hall 'P 1'
_cell_length_a 9.045
_cell_length_b 9.045
_cell_length_c 10.107
_cell_angle_alpha 94.83
_cell_angle_beta 94.83
_cell_angle_gamma 118.23
loop_
_atom_site_label
_atom_site_type_symbol
_atom_site_fract_x
_atom_site_fract_y
_atom_site_fract_z
La1 La 0.096 0.904 0.750
La2 La 0.904 0.096 0.250
Pm1 Pm 0.481 0.519 0.250
Pm2 Pm 0.519 0.481 0.750
Pr1 Pr 0.213 0.312 0.958
Pr2 Pr 0.312 0.213 0.458
Pr3 Pr 0.688 0.787 0.542
Pr4 Pr 0.787 0.688 0.042
Nd1 Nd 0.003 0.796 0.378
Nd2 Nd 0.075 0.524 0.184
Nd3 Nd 0.204 0.997 0.122
Nd4 Nd 0.246 0.617 0.555
Nd5 Nd 0.383 0.754 0.945
Nd6 Nd 0.476 0.925 0.316
Nd7 Nd 0.524 0.075 0.684
Nd8 Nd 0.617 0.246 0.055
Nd9 Nd 0.754 0.383 0.445
Nd10 Nd 0.796 0.003 0.878
Nd11 Nd 0.925 0.476 0.816
Nd12 Nd 0.997 0.204 0.622
```

---

Entry 2:
Diffraction record for YTaNi. The powder XRD pattern is theoretical, not measured: it uses a structure optimized by DFT (PBE) and a wavelength of 1.5418 Å.
Neutral-atom scattering factors, no anomalous dispersion.

Peak list (10 most intense, 5 to 70 degrees two-theta, sorted by position)
- 2θ = 15.56°, I = 32
- 2θ = 28.99°, I = 24
- 2θ = 31.42°, I = 15
- 2θ = 36.74°, I = 100
- 2θ = 39.86°, I = 49
- 2θ = 43.03°, I = 11
- 2θ = 49.10°, I = 11
- 2θ = 51.61°, I = 15
- 2θ = 57.63°, I = 17
- 2θ = 64.23°, I = 17

Cell and atoms:
```
data_YTaNi
_space_group_name_H-M_alt 'P 1'
_space_group_IT_number 1
_space_group_name_Hall 'P 1'
_cell_length_a 6.127
_cell_length_b 6.127
_cell_length_c 6.127
_cell_angle_alpha 149.74
_cell_angle_beta 149.74
_cell_angle_gamma 43.33
loop_
_atom_site_label
_atom_site_type_symbol
_atom_site_fract_x
_atom_site_fract_y
_atom_site_fract_z
Y1 Y 0.000 0.000 0.000
Ta1 Ta 0.699 0.699 0.000
Ni1 Ni 0.305 0.305 0.000
```